Entry 1:
Starting from a structure optimized by DFT (GGA-PBE), the powder XRD pattern of Pm4TlHgN was simulated for a wavelength of 1.5418 Å.
Peak positions follow from Bragg's law for the DFT cell and can differ from measured ones.

Main lines, low angle first (5 to 70 degrees two-theta):
| Position (°2θ) | d/Å | intensity |
| --- | --- | --- |
| 25.1 | 3.545 | 29 |
| 27.7 | 3.217 | 55 |
| 34.3 | 2.613 | 23 |
| 34.5 | 2.600 | 100 |
| 35.2 | 2.551 | 17 |
| 35.8 | 2.507 | 67 |
| 50.5 | 1.809 | 15 |
| 51.1 | 1.788 | 23 |
| 51.6 | 1.773 | 24 |
| 59.5 | 1.552 | 13 |
| 63.5 | 1.465 | 21 |
| 63.5 | 1.465 | 17 |

Crystal structure
```
Pm4TlHgN
1.0
3.544 -7.652 0.000
3.544 7.652 0.000
0.000 0.000 7.091
Pm Tl Hg N
8 2 2 2
direct
0.000 0.500 0.000 Pm
0.000 0.500 0.500 Pm
0.080 0.920 0.750 Pm
0.414 0.586 0.750 Pm
0.500 0.000 0.000 Pm
0.500 0.000 0.500 Pm
0.586 0.414 0.250 Pm
0.920 0.080 0.250 Pm
0.382 0.618 0.250 Tl
0.618 0.382 0.750 Tl
0.120 0.880 0.250 Hg
0.880 0.120 0.750 Hg
0.250 0.750 0.750 N
0.750 0.250 0.250 N
```

---

Entry 2:
Starting from a structure optimized by DFT (GGA-PBE), the powder XRD pattern of Pr4HgN was simulated for a wavelength of 1.5418 Å.
Peak positions follow from Bragg's law for the DFT cell and can differ from measured ones.

Main lines, low angle first (5 to 70 degrees two-theta):
| Position (°2θ) | d/Å | intensity |
| --- | --- | --- |
| 27.3 | 3.270 | 20 |
| 29.7 | 3.011 | 100 |
| 31.1 | 2.875 | 92 |
| 32.1 | 2.784 | 29 |
| 32.4 | 2.766 | 25 |
| 34.1 | 2.626 | 90 |
| 39.1 | 2.305 | 25 |
| 47.6 | 1.909 | 19 |
| 52.9 | 1.732 | 20 |
| 58.4 | 1.579 | 15 |
| 59.3 | 1.559 | 15 |
| 61.3 | 1.513 | 13 |

Crystal structure
```
Pr4HgN
1.0
2.623 -9.192 0.000
2.623 9.192 0.000
0.000 0.000 6.999
Pr Hg N
8 2 2
direct
0.022 0.978 0.500 Pr
0.167 0.833 0.099 Pr
0.206 0.794 0.599 Pr
0.407 0.593 0.311 Pr
0.593 0.407 0.811 Pr
0.794 0.206 0.099 Pr
0.833 0.167 0.599 Pr
0.978 0.022 0.000 Pr
0.389 0.611 0.824 Hg
0.611 0.389 0.324 Hg
0.095 0.905 0.806 N
0.905 0.095 0.306 N
```

---

Entry 3:
Starting from a structure optimized by DFT (GGA-PBE), the powder XRD pattern of Pr2HgN was simulated for a wavelength of 1.5418 Å.
Peak positions follow from Bragg's law for the DFT cell and can differ from measured ones.

Main lines, low angle first (5 to 70 degrees two-theta):
| Position (°2θ) | d/Å | intensity |
| --- | --- | --- |
| 24.3 | 3.662 | 37 |
| 26.8 | 3.326 | 40 |
| 29.5 | 3.024 | 35 |
| 30.3 | 2.945 | 100 |
| 31.0 | 2.884 | 99 |
| 34.5 | 2.601 | 60 |
| 39.3 | 2.295 | 46 |
| 39.8 | 2.265 | 19 |
| 44.3 | 2.043 | 17 |
| 46.0 | 1.972 | 21 |
| 53.8 | 1.705 | 19 |
| 68.7 | 1.366 | 22 |

Crystal structure
```
Pr2HgN
1.0
5.202 0.000 0.000
0.000 10.719 0.000
0.000 0.000 7.324
Pr Hg N
8 4 4
direct
0.250 0.102 0.000 Pr
0.250 0.398 0.500 Pr
0.250 0.691 0.843 Pr
0.250 0.809 0.343 Pr
0.750 0.191 0.343 Pr
0.750 0.309 0.843 Pr
0.750 0.602 0.500 Pr
0.750 0.898 0.000 Pr
0.250 0.086 0.557 Hg
0.250 0.414 0.057 Hg
0.750 0.586 0.057 Hg
0.750 0.914 0.557 Hg
0.250 0.617 0.533 N
0.250 0.883 0.033 N
0.750 0.117 0.033 N
0.750 0.383 0.533 N
```

---

Entry 4:
Starting from a structure optimized by DFT (GGA-PBE), the powder XRD pattern of Pr4HgN2 was simulated for a wavelength of 1.5418 Å.
Peak positions follow from Bragg's law for the DFT cell and can differ from measured ones.

Main lines, low angle first (5 to 70 degrees two-theta):
| Position (°2θ) | d/Å | intensity |
| --- | --- | --- |
| 6.1 | 14.545 | 39 |
| 27.9 | 3.197 | 34 |
| 30.7 | 2.909 | 27 |
| 31.4 | 2.850 | 100 |
| 32.4 | 2.763 | 67 |
| 36.0 | 2.493 | 13 |
| 38.9 | 2.318 | 12 |
| 40.4 | 2.234 | 13 |
| 49.2 | 1.850 | 41 |
| 59.2 | 1.561 | 26 |
| 59.6 | 1.552 | 16 |
| 63.2 | 1.471 | 15 |

Crystal structure
```
Pr4HgN2
1.0
1.850 1.068 14.545
-1.850 1.068 14.545
0.000 -2.137 14.545
Pr Hg N
4 1 2
direct
0.124 0.124 0.124 Pr
0.274 0.274 0.274 Pr
0.726 0.726 0.726 Pr
0.876 0.876 0.876 Pr
0.000 0.000 0.000 Hg
0.426 0.426 0.426 N
0.574 0.574 0.574 N
```

---

Entry 5:
Starting from a structure optimized by DFT (GGA-PBE), the powder XRD pattern of Hg3PtN was simulated for a wavelength of 1.5418 Å.
Peak positions follow from Bragg's law for the DFT cell and can differ from measured ones.

Main lines, low angle first (5 to 70 degrees two-theta):
| Position (°2θ) | d/Å | intensity |
| --- | --- | --- |
| 33.6 | 2.665 | 100 |
| 39.0 | 2.308 | 54 |
| 56.4 | 1.632 | 37 |
| 67.3 | 1.392 | 42 |

Crystal structure
```
Hg3PtN
1.0
4.615 0.000 0.000
0.000 4.615 0.000
0.000 0.000 4.615
Hg Pt N
3 1 1
direct
0.000 0.000 0.500 Hg
0.000 0.500 0.000 Hg
0.500 0.000 0.000 Hg
0.500 0.500 0.500 Pt
0.000 0.000 0.000 N
```

---

Entry 6:
Starting from a structure optimized by DFT (GGA-PBE), the powder XRD pattern of ZrReHgN2 was simulated for a wavelength of 1.5418 Å.
Peak positions follow from Bragg's law for the DFT cell and can differ from measured ones.

Main lines, low angle first (5 to 70 degrees two-theta):
| Position (°2θ) | d/Å | intensity |
| --- | --- | --- |
| 21.4 | 4.144 | 97 |
| 27.3 | 3.263 | 16 |
| 30.5 | 2.930 | 100 |
| 33.9 | 2.647 | 48 |
| 35.0 | 2.564 | 7 |
| 40.4 | 2.231 | 40 |
| 43.7 | 2.072 | 47 |
| 46.2 | 1.964 | 66 |
| 49.2 | 1.853 | 23 |
| 56.4 | 1.632 | 44 |
| 61.0 | 1.518 | 25 |
| 63.5 | 1.465 | 15 |

Crystal structure
```
ZrReHgN2
1.0
4.144 0.000 0.000
0.000 4.144 0.000
0.000 0.000 5.294
Zr Re Hg N
1 1 1 2
direct
0.000 0.000 0.000 Zr
0.500 0.500 0.000 Re
0.500 0.500 0.500 Hg
0.000 0.500 0.500 N
0.500 0.000 0.500 N
```